[1]
Starting from a DFT-relaxed cell (GGA-PBE, Alexandria), the X-ray diffraction stick pattern of SiP2Ir was computed for Cu Kα (λ = 1.5418 Å).
Kinematic intensities with the Lorentz-polarization factor, no thermal factor.

Structural model:
Unit cell a=2.807 b=4.660 c=9.406 alpha=90.00 beta=90.00 gamma=90.00
Fractional coordinates of all 8 atoms:
Si  0.000  0.000  0.000
Si  0.000  0.500  0.500
P  0.000  0.000  0.427
P  0.000  0.500  0.927
P  0.500  0.000  0.778
P  0.500  0.500  0.278
Ir  0.500  0.000  0.223
Ir  0.500  0.500  0.723

The 8 most intense peaks (5° ≤ 2θ ≤ 70°), sorted by position:
| Position (°2θ) | intensity |
| --- | --- |
| 18.9 | 57 |
| 21.3 | 100 |
| 34.5 | 19 |
| 37.3 | 57 |
| 38.3 | 20 |
| 38.6 | 61 |
| 47.7 | 37 |
| 54.8 | 37 |



[2]
Starting from a DFT-relaxed cell (GGA-PBE, Alexandria), the X-ray diffraction stick pattern of SiP3Ir was computed for Cu Kα (λ = 1.5418 Å).
Kinematic intensities with the Lorentz-polarization factor, no thermal factor.

Structural model:
Unit cell a=4.626 b=4.626 c=4.626 alpha=90.00 beta=90.00 gamma=90.00
Fractional coordinates of all 5 atoms:
Si  0.000  0.000  0.000
P  0.000  0.500  0.500
P  0.500  0.000  0.500
P  0.500  0.500  0.000
Ir  0.500  0.500  0.500

The 8 most intense peaks (5° ≤ 2θ ≤ 70°), sorted by position:
| Position (°2θ) | intensity |
| --- | --- |
| 19.2 | 100 |
| 27.3 | 82 |
| 38.9 | 44 |
| 43.8 | 48 |
| 48.2 | 36 |
| 56.2 | 29 |
| 60.0 | 24 |
| 63.6 | 16 |



[3]
Starting from a DFT-relaxed cell (GGA-PBE, Alexandria), the X-ray diffraction stick pattern of U2SiPIr6 was computed for Cu Kα (λ = 1.5418 Å).
Kinematic intensities with the Lorentz-polarization factor, no thermal factor.

Structural model:
Unit cell a=5.476 b=8.391 c=7.846 alpha=90.00 beta=90.00 gamma=90.00
Fractional coordinates of all 20 atoms:
U  0.250  0.015  0.227
U  0.250  0.485  0.227
U  0.750  0.515  0.773
U  0.750  0.985  0.773
Si  0.250  0.750  0.769
Si  0.750  0.250  0.231
P  0.250  0.250  0.748
P  0.750  0.750  0.252
Ir  0.003  0.250  0.488
Ir  0.004  0.750  0.018
Ir  0.250  0.001  0.615
Ir  0.250  0.499  0.615
Ir  0.496  0.750  0.018
Ir  0.497  0.250  0.488
Ir  0.503  0.750  0.512
Ir  0.504  0.250  0.982
Ir  0.750  0.501  0.385
Ir  0.750  0.999  0.385
Ir  0.996  0.250  0.982
Ir  0.997  0.750  0.512

The 8 most intense peaks (5° ≤ 2θ ≤ 70°), sorted by position:
| Position (°2θ) | intensity |
| --- | --- |
| 28.0 | 26 |
| 31.2 | 90 |
| 35.4 | 29 |
| 39.3 | 100 |
| 40.2 | 57 |
| 43.1 | 43 |
| 44.0 | 38 |
| 60.4 | 34 |



[4]
Starting from a DFT-relaxed cell (GGA-PBE, Alexandria), the X-ray diffraction stick pattern of SmZnP2Ir5 was computed for Cu Kα (λ = 1.5418 Å).
Kinematic intensities with the Lorentz-polarization factor, no thermal factor.

Structural model:
Unit cell a=4.056 b=4.056 c=9.836 alpha=90.00 beta=90.00 gamma=90.00
Fractional coordinates of all 9 atoms:
Sm  0.000  0.000  0.000
Zn  0.000  0.000  0.500
P  0.500  0.500  0.232
P  0.500  0.500  0.768
Ir  0.000  0.500  0.340
Ir  0.000  0.500  0.660
Ir  0.500  0.000  0.340
Ir  0.500  0.000  0.660
Ir  0.500  0.500  0.000

The 8 most intense peaks (5° ≤ 2θ ≤ 70°), sorted by position:
| Position (°2θ) | intensity |
| --- | --- |
| 27.2 | 85 |
| 32.5 | 100 |
| 36.3 | 75 |
| 41.8 | 28 |
| 44.7 | 69 |
| 48.8 | 63 |
| 53.1 | 55 |
| 65.0 | 23 |



[5]
Starting from a DFT-relaxed cell (GGA-PBE, Alexandria), the X-ray diffraction stick pattern of Tb2P3Ir5 was computed for Cu Kα (λ = 1.5418 Å).
Kinematic intensities with the Lorentz-polarization factor, no thermal factor.

Structural model:
Unit cell a=12.654 b=12.654 c=6.657 alpha=90.00 beta=90.00 gamma=161.89
Fractional coordinates of all 20 atoms:
Tb  0.026  0.974  0.500
Tb  0.324  0.676  0.483
Tb  0.676  0.324  0.983
Tb  0.974  0.026  0.000
P  0.111  0.889  0.773
P  0.288  0.712  0.905
P  0.459  0.541  0.695
P  0.541  0.459  0.195
P  0.712  0.288  0.405
P  0.889  0.111  0.273
Ir  0.089  0.911  0.121
Ir  0.186  0.814  0.585
Ir  0.239  0.761  0.220
Ir  0.384  0.616  0.911
Ir  0.440  0.560  0.325
Ir  0.560  0.440  0.825
Ir  0.616  0.384  0.411
Ir  0.761  0.239  0.720
Ir  0.814  0.186  0.085
Ir  0.911  0.089  0.621

The 8 most intense peaks (5° ≤ 2θ ≤ 70°), sorted by position:
| Position (°2θ) | intensity |
| --- | --- |
| 31.7 | 53 |
| 34.5 | 23 |
| 35.3 | 46 |
| 36.4 | 100 |
| 36.8 | 33 |
| 38.5 | 20 |
| 43.3 | 23 |
| 45.6 | 44 |



[6]
Starting from a DFT-relaxed cell (GGA-PBE, Alexandria), the X-ray diffraction stick pattern of Tb6Te3PIr2 was computed for Cu Kα (λ = 1.5418 Å).
Kinematic intensities with the Lorentz-polarization factor, no thermal factor.

Structural model:
Unit cell a=7.226 b=7.226 c=7.573 alpha=99.24 beta=99.24 gamma=120.04
Fractional coordinates of all 12 atoms:
Tb  0.094  0.431  0.792
Tb  0.234  0.234  0.209
Tb  0.431  0.094  0.792
Tb  0.569  0.906  0.208
Tb  0.766  0.766  0.791
Tb  0.906  0.569  0.208
Te  0.000  0.000  0.500
Te  0.335  0.665  0.500
Te  0.665  0.335  0.500
P  0.500  0.500  0.000
Ir  0.167  0.833  0.000
Ir  0.833  0.167  0.000

The 8 most intense peaks (5° ≤ 2θ ≤ 70°), sorted by position:
| Position (°2θ) | intensity |
| --- | --- |
| 12.3 | 7 |
| 29.8 | 100 |
| 41.8 | 22 |
| 42.0 | 11 |
| 43.4 | 38 |
| 53.5 | 13 |
| 53.6 | 6 |
| 61.9 | 7 |



[7]
Starting from a DFT-relaxed cell (GGA-PBE, Alexandria), the X-ray diffraction stick pattern of TcPIr was computed for Cu Kα (λ = 1.5418 Å).
Kinematic intensities with the Lorentz-polarization factor, no thermal factor.

Structural model:
Unit cell a=12.754 b=2.877 c=4.660 alpha=90.00 beta=91.09 gamma=90.00
Fractional coordinates of all 12 atoms:
Tc  0.000  0.000  0.000
Tc  0.195  0.000  0.785
Tc  0.500  0.500  0.000
Tc  0.695  0.500  0.785
P  0.184  0.500  0.189
P  0.381  0.000  0.776
P  0.684  0.000  0.189
P  0.881  0.500  0.776
Ir  0.046  0.500  0.499
Ir  0.332  0.000  0.290
Ir  0.546  0.000  0.499
Ir  0.832  0.500  0.290

The 8 most intense peaks (5° ≤ 2θ ≤ 70°), sorted by position:
| Position (°2θ) | intensity |
| --- | --- |
| 23.4 | 62 |
| 31.9 | 81 |
| 34.4 | 67 |
| 37.3 | 95 |
| 37.5 | 67 |
| 41.0 | 79 |
| 42.8 | 100 |
| 51.5 | 67 |



[8]
Starting from a DFT-relaxed cell (GGA-PBE, Alexandria), the X-ray diffraction stick pattern of Te2P2Ir was computed for Cu Kα (λ = 1.5418 Å).
Kinematic intensities with the Lorentz-polarization factor, no thermal factor.

Structural model:
Unit cell a=3.312 b=3.312 c=19.509 alpha=90.00 beta=90.00 gamma=90.00
Fractional coordinates of all 10 atoms:
Te  0.000  0.000  0.084
Te  0.000  0.000  0.916
Te  0.500  0.500  0.416
Te  0.500  0.500  0.584
P  0.000  0.500  0.250
P  0.000  0.500  0.750
P  0.500  0.000  0.250
P  0.500  0.000  0.750
Ir  0.000  0.000  0.500
Ir  0.500  0.500  0.000

The 8 most intense peaks (5° ≤ 2θ ≤ 70°), sorted by position:
| Position (°2θ) | intensity |
| --- | --- |
| 9.1 | 100 |
| 30.3 | 16 |
| 35.6 | 47 |
| 38.4 | 16 |
| 39.6 | 30 |
| 42.4 | 28 |
| 55.5 | 10 |
| 67.7 | 15 |



[9]
Starting from a DFT-relaxed cell (GGA-PBE, Alexandria), the X-ray diffraction stick pattern of Th2P2Ir5 was computed for Cu Kα (λ = 1.5418 Å).
Kinematic intensities with the Lorentz-polarization factor, no thermal factor.

Structural model:
Unit cell a=4.174 b=4.174 c=8.973 alpha=90.00 beta=90.00 gamma=90.00
Fractional coordinates of all 9 atoms:
Th  0.000  0.000  0.000
Th  0.000  0.000  0.500
P  0.500  0.500  0.131
P  0.500  0.500  0.869
Ir  0.000  0.500  0.258
Ir  0.000  0.500  0.742
Ir  0.500  0.000  0.258
Ir  0.500  0.000  0.742
Ir  0.500  0.500  0.500

The 8 most intense peaks (5° ≤ 2θ ≤ 70°), sorted by position:
| Position (°2θ) | intensity |
| --- | --- |
| 9.9 | 9 |
| 29.2 | 6 |
| 36.4 | 100 |
| 40.2 | 17 |
| 43.1 | 4 |
| 43.4 | 34 |
| 60.6 | 21 |
| 63.0 | 11 |



[10]
Starting from a DFT-relaxed cell (GGA-PBE, Alexandria), the X-ray diffraction stick pattern of Tl2PIr was computed for Cu Kα (λ = 1.5418 Å).
Kinematic intensities with the Lorentz-polarization factor, no thermal factor.

Structural model:
Unit cell a=3.919 b=3.919 c=23.434 alpha=90.00 beta=90.00 gamma=120.00
Fractional coordinates of all 12 atoms:
Tl  0.000  0.000  0.000
Tl  0.000  0.000  0.202
Tl  0.333  0.667  0.667
Tl  0.333  0.667  0.868
Tl  0.667  0.333  0.333
Tl  0.667  0.333  0.535
P  0.000  0.000  0.767
P  0.333  0.667  0.434
P  0.667  0.333  0.100
Ir  0.000  0.000  0.434
Ir  0.333  0.667  0.101
Ir  0.667  0.333  0.767

The 8 most intense peaks (5° ≤ 2θ ≤ 70°), sorted by position:
| Position (°2θ) | intensity |
| --- | --- |
| 26.5 | 38 |
| 30.4 | 90 |
| 32.6 | 100 |
| 34.4 | 32 |
| 37.7 | 16 |
| 46.3 | 52 |
| 57.8 | 20 |
| 59.0 | 41 |



[11]
Starting from a DFT-relaxed cell (GGA-PBE, Alexandria), the X-ray diffraction stick pattern of TmP3Ir6 was computed for Cu Kα (λ = 1.5418 Å).
Kinematic intensities with the Lorentz-polarization factor, no thermal factor.

Structural model:
Unit cell a=5.477 b=5.523 c=6.523 alpha=66.74 beta=70.65 gamma=61.42
Fractional coordinates of all 10 atoms:
Tm  0.000  0.000  0.000
P  0.178  0.365  0.136
P  0.578  0.711  0.139
P  0.790  0.924  0.491
Ir  0.059  0.539  0.782
Ir  0.235  0.934  0.417
Ir  0.404  0.363  0.393
Ir  0.520  0.538  0.887
Ir  0.562  0.065  0.812
Ir  0.810  0.527  0.439

The 8 most intense peaks (5° ≤ 2θ ≤ 70°), sorted by position:
| Position (°2θ) | intensity |
| --- | --- |
| 30.3 | 100 |
| 34.5 | 65 |
| 38.1 | 89 |
| 38.4 | 82 |
| 38.7 | 70 |
| 42.1 | 53 |
| 43.6 | 44 |
| 46.2 | 57 |